(1)
This entry pairs a crystal structure of Li4Cu3WO8 with its theoretical PXRD pattern. Radiation: Cu Ka. Structure: DFT lattice parameters and positions (GGA+U).
Kinematic intensities with the Lorentz-polarization factor, no thermal factor.

Main lines, sorted by position (10 to 80 degrees two-theta):
2theta, intensity, hkl
17.7, 22, 1 0 0
17.9, 11, 0 1 -1
18.4, 100, 1 0 -1
32.6, 23, 1 0 1
34.5, 18, 1 -2 1
35.9, 37, 1 2 -1
37.3, 10, 2 0 -2
39.4, 26, 0 0 2
42.3, 22, 2 -2 0
44.9, 19, 2 2 -2
59.8, 11, -2 2 2
62.7, 10, 0 4 -2

Structure:
a b c (Å): 5.8256 5.9361 5.9965
angles (deg): 117.41 115.27 93.32
Space group P-1 (No. 2)
One atom of each set of equivalent atoms:
Li (0.0000, 0.0000, 0.0000)
Li (0.0000, 0.5000, 0.0000)
Li (0.5000, 0.0000, 0.5000)
Li (0.5000, 0.5000, 0.5000)
Cu (0.0000, 0.0000, 0.5000)
Cu (0.0000, 0.5000, 0.5000)
Cu (0.5000, 0.0000, 0.0000)
W (0.5000, 0.5000, 0.0000)
O (0.2430, 0.7842, 0.5562)
O (0.2628, 0.3050, 0.0421)
O (0.2664, 0.2859, 0.5605)
O (0.2969, 0.7548, 0.0423)


(2)
This entry pairs a crystal structure of Fe5O7F3 with its theoretical PXRD pattern. Radiation: Cu Ka. Structure: DFT lattice parameters and positions (GGA+U).
Kinematic intensities with the Lorentz-polarization factor, no thermal factor.

Main lines, sorted by position (10 to 80 degrees two-theta):
2theta, intensity, hkl
26.6, 95, 2 0 0
27.4, 93, 0 2 0
35.2, 100, 1 1 5
38.6, 17, 2 2 0
40.0, 16, 2 0 -5
52.7, 26, 3 1 -5
52.8, 28, 3 1 5
53.7, 54, 1 3 5
56.6, 15, 0 4 0
60.8, 17, 0 0 10
67.6, 23, 3 3 -5
67.7, 24, 3 3 5

Structure:
a b c (Å): 6.6971 6.5065 15.2270
angles (deg): 90.00 90.13 90.00
Space group C2 (No. 5)
One atom of each set of equivalent atoms:
Fe (0.0000, 0.0000, 0.0000)
Fe (0.0000, 0.4849, 0.5000)
Fe (0.0006, 0.4880, 0.7003)
Fe (0.0065, 0.4649, 0.0952)
Fe (0.0279, 0.9849, 0.4014)
Fe (0.0290, 0.9927, 0.7930)
O (0.0000, 0.1775, 0.5000)
O (0.0000, 0.7923, 0.5000)
O (0.0029, 0.7927, 0.3027)
O (0.0052, 0.1832, 0.3049)
O (0.0096, 0.1691, 0.8957)
O (0.1771, 0.4866, 0.5993)
O (0.1785, 0.4829, 0.2014)
O (0.1989, 0.4783, 0.9983)
F (0.0067, 0.7824, 0.8974)
F (0.2048, 0.4868, 0.4008)
F (0.2062, 0.4831, 0.8007)


(3)
This entry pairs a crystal structure of Li9Mn2Co5O16 with its theoretical PXRD pattern. Radiation: Cu Ka. Structure: DFT lattice parameters and positions (GGA+U).
Kinematic intensities with the Lorentz-polarization factor, no thermal factor.

Main lines, sorted by position (10 to 80 degrees two-theta):
2theta, intensity, hkl
18.4, 100, 0 1 1
35.7, 14, 2 0 1
36.3, 26, 0 1 -3
37.6, 8, 2 1 2
43.1, 29, 2 -1 0
43.9, 27, 0 0 4
44.0, 26, 2 3 0
62.9, 7, -2 1 4
63.2, 7, 0 4 0
63.4, 8, 4 2 0
63.6, 14, 2 -1 4
64.3, 7, 2 3 -4

Structure:
a b c (Å): 5.8710 6.5211 8.2461
angles (deg): 89.25 89.96 64.45
Space group P1 (No. 1)
One atom of each set of equivalent atoms:
Li (0.0000, 0.0000, 0.0000)
Li (0.0094, 0.9923, 0.4984)
Li (0.1210, 0.2438, 0.2397)
Li (0.2573, 0.4975, 0.0013)
Li (0.3636, 0.7531, 0.7550)
Li (0.5048, 0.9982, 0.4942)
Li (0.6382, 0.2456, 0.2406)
Li (0.7474, 0.5078, 0.0005)
Li (0.8850, 0.7568, 0.7549)
Mn (0.1270, 0.2438, 0.7530)
Mn (0.2524, 0.5002, 0.5019)
Co (0.3789, 0.7492, 0.2445)
Co (0.5019, 0.9988, 0.9975)
Co (0.6379, 0.2376, 0.7551)
Co (0.7552, 0.4989, 0.4960)
Co (0.8783, 0.7579, 0.2443)
O (0.0052, 0.9816, 0.2510)
O (0.0134, 0.0147, 0.7458)
O (0.1412, 0.2589, 0.5142)
O (0.1574, 0.2321, 0.9848)
O (0.2435, 0.4908, 0.7381)
O (0.2534, 0.5029, 0.2647)
O (0.3754, 0.7340, 0.4914)
O (0.3839, 0.7678, 0.0084)
O (0.4887, 0.0190, 0.7606)
O (0.5066, 0.9938, 0.2314)
O (0.6030, 0.2661, 0.5182)
O (0.6138, 0.2337, 0.9827)
O (0.7550, 0.5135, 0.2463)
O (0.7774, 0.4606, 0.7549)
O (0.8367, 0.7779, 0.0010)
O (0.9040, 0.7304, 0.4983)


(4)
This entry pairs a crystal structure of Mn3O4 with its theoretical PXRD pattern. Radiation: Cu Ka. Structure: DFT lattice parameters and positions (GGA+U).
Kinematic intensities with the Lorentz-polarization factor, no thermal factor.

Main lines, sorted by position (10 to 80 degrees two-theta):
2theta, intensity, hkl
31.9, 30, 1 1 1
33.0, 100, 0 2 3
35.7, 30, 1 1 2
36.1, 24, 0 4 0
40.0, 22, 1 3 0
41.1, 56, 1 3 1
44.3, 45, 1 3 2
56.8, 37, 0 0 6
58.4, 14, 1 5 2
62.6, 17, 1 5 3
62.9, 21, 0 6 3
70.5, 15, 2 2 3

Structure:
a b c (Å): 3.0699 9.9532 9.7251
angles (deg): 90.00 90.00 90.00
Space group Pbcm (No. 57)
One atom of each set of equivalent atoms:
Mn (0.2046, 0.1433, 0.2500)
Mn (0.2849, 0.6142, 0.5700)
O (0.1347, 0.2500, 0.0000)
O (0.2926, 0.5292, 0.1118)
O (0.2950, 0.7014, 0.7500)


(5)
This entry pairs a crystal structure of BaVO3 with its theoretical PXRD pattern. Radiation: Cu Ka. Structure: DFT lattice parameters and positions (GGA+U).
Kinematic intensities with the Lorentz-polarization factor, no thermal factor.

Main lines, sorted by position (10 to 80 degrees two-theta):
2theta, intensity, hkl
22.3, 17, 1 0 0
31.8, 100, 1 1 0
39.2, 23, 1 1 1
45.6, 34, 2 0 0
51.3, 9, 2 1 0
56.6, 38, 2 1 1
66.4, 20, 2 2 0
71.0, 5, 3 0 0
75.5, 17, 3 1 0
79.9, 8, 3 1 1

Structure:
a b c (Å): 3.9825 3.9825 3.9825
angles (deg): 90.00 90.00 90.00
Space group Pm-3m (No. 221)
One atom of each set of equivalent atoms:
Ba (0.0000, 0.0000, 0.0000)
V (0.5000, 0.5000, 0.5000)
O (0.0000, 0.5000, 0.5000)


(6)
This entry pairs a crystal structure of Na2FeO3 with its theoretical PXRD pattern. Radiation: Cu Ka. Structure: DFT lattice parameters and positions (GGA+U).
Kinematic intensities with the Lorentz-polarization factor, no thermal factor.

Main lines, sorted by position (10 to 80 degrees two-theta):
2theta, intensity, hkl
16.1, 23, 0 1 1
17.7, 56, 0 2 0
18.3, 18, 1 0 0
24.1, 89, 1 1 -1
30.0, 30, 0 3 1
32.6, 22, 1 3 0
33.3, 26, 1 0 2
37.1, 77, 2 0 0
38.4, 100, 0 3 2
53.8, 21, 2 3 -2
55.1, 33, 2 3 2
57.0, 21, 0 6 1

Structure:
a b c (Å): 4.8437 10.0008 6.6126
angles (deg): 90.00 91.82 90.00
Space group P2_1/c (No. 14)
One atom of each set of equivalent atoms:
Na (0.2370, 0.2281, 0.3579)
Na (0.2391, 0.6031, 0.8814)
Fe (0.3172, 0.5401, 0.3405)
O (0.2455, 0.0788, 0.6458)
O (0.2596, 0.6910, 0.2107)
O (0.2938, 0.0639, 0.0778)